Theoretical XRD peak list of Ti2Ni3Au for λ = 1.5418 Å (Cu Kα), from DFT lattice parameters and positions (PBE).
Lines closer than 0.1° are merged.

Main lines, most intense first (5° ≤ 2θ ≤ 70°):
2θ (°)  intensity  (hkl)
41.01  100  0 2 0
42.89  88  5 1 -1
43.17  79  3 1 -3
23.75  41  1 1 -1
59.39  30  2 2 2
21.91  20  1 1 0

Cell and atoms:
```
data_Ti2Ni3Au
_symmetry_space_group_name_H-M 'C 1 2/m 1'
_symmetry_Int_Tables_number 12
_symmetry_space_group_name_Hall '-C 2y'
_cell_length_a 12.260
_cell_length_b 4.398
_cell_length_c 7.173
_cell_angle_alpha 90.00
_cell_angle_beta 121.06
_cell_angle_gamma 90.00
loop_
_atom_site_label
_atom_site_type_symbol
_atom_site_fract_x
_atom_site_fract_y
_atom_site_fract_z
Ti1 Ti 0.020 0.000 0.212
Ti2 Ti 0.199 0.500 0.577
Ni1 Ni 0.039 0.500 0.696
Ni2 Ni 0.116 0.000 0.600
Ni3 Ni 0.209 0.000 0.018
Au1 Au 0.135 0.500 0.143
```